For PmCoPH, the PBE geometry in Alexandria gives the simulated X-ray diffraction stick pattern in this record (Cu Kα).
Kinematic intensities with the Lorentz-polarization factor, no thermal factor.

Crystal structure
Cell lengths 3.7886, 3.7886, 7.8695 Å; angles 90.00, 90.00, 90.00 degrees
Space group P4/nmm (No. 129, origin choice 2)
Asymmetric unit:
Pm: 0.2500 0.2500 0.1795
Co: 0.2500 0.7500 0.5000
P: 0.2500 0.2500 0.6517
H: 0.2500 0.7500 0.0000

Principal peaks in the range 2θ = 5–70°, low angle first:
- 3.414 Å, 26.10 deg, intensity 100, (1 0 1)
- 2.729 Å, 32.82 deg, intensity 100, (1 0 2)
- 2.679 Å, 33.45 deg, intensity 30, (1 1 0)
- 2.623 Å, 34.18 deg, intensity 33, (0 0 3)
- 2.536 Å, 35.39 deg, intensity 45, (1 1 1)
- 2.214 Å, 40.75 deg, intensity 74, (1 1 2)
- 1.894 Å, 48.03 deg, intensity 48, (2 0 0)
- 1.746 Å, 52.40 deg, intensity 34, (1 0 4)
- 1.656 Å, 55.48 deg, intensity 26, (2 1 1)
- 1.556 Å, 59.39 deg, intensity 35, (2 1 2)
- 1.536 Å, 60.26 deg, intensity 26, (2 0 3)
- 1.357 Å, 69.23 deg, intensity 17, (1 1 5)

***

For PaCoH3, the PBE geometry in Alexandria gives the simulated X-ray diffraction stick pattern in this record (Cu Kα).
Kinematic intensities with the Lorentz-polarization factor, no thermal factor.

Crystal structure
Cell lengths 4.0141, 4.0624, 6.0361 Å; angles 90.00, 106.93, 90.00 degrees
Space group P2_1 (No. 4)
Asymmetric unit:
Pa: 0.1508 0.0000 0.2841
Co: 0.3798 0.0176 0.8414
H: 0.0162 0.5014 0.1167
H: 0.3082 0.2812 0.6172
H: 0.4235 0.6262 0.8839

Principal peaks in the range 2θ = 5–70°, low angle first:
- 3.323 Å, 26.83 deg, intensity 87, (0 1 1)
- 2.887 Å, 30.97 deg, intensity 57, (0 0 2)
- 2.839 Å, 31.51 deg, intensity 39, (1 0 1)
- 2.791 Å, 32.07 deg, intensity 100, (1 1 0)
- 2.751 Å, 32.55 deg, intensity 62, (1 1 -1)
- 2.719 Å, 32.94 deg, intensity 43, (1 0 -2)
- 2.353 Å, 38.24 deg, intensity 28, (0 1 2)
- 2.327 Å, 38.69 deg, intensity 27, (1 1 1)
- 2.260 Å, 39.89 deg, intensity 31, (1 1 -2)
- 2.031 Å, 44.61 deg, intensity 33, (0 2 0)
- 2.005 Å, 45.22 deg, intensity 31, (2 0 -1)
- 1.823 Å, 50.03 deg, intensity 24, (1 1 2)

***

For PaCoH, the PBE geometry in Alexandria gives the simulated X-ray diffraction stick pattern in this record (Cu Kα).
Kinematic intensities with the Lorentz-polarization factor, no thermal factor.

Crystal structure
Cell lengths 3.7461, 11.6234, 3.8659 Å; angles 90.00, 100.80, 90.00 degrees
Space group Cc (No. 9)
Asymmetric unit:
Pa: 0.0000 0.1318 0.0000
Co: 0.0203 0.4243 0.0381
H: 0.0589 0.3111 0.7920

Principal peaks in the range 2θ = 5–70°, low angle first:
- 3.508 Å, 25.39 deg, intensity 39, (1 1 0)
- 3.179 Å, 28.07 deg, intensity 100, (0 2 1)
- 2.906 Å, 30.77 deg, intensity 77, (0 4 0)
- 2.842 Å, 31.47 deg, intensity 93, (1 1 -1)
- 2.668 Å, 33.59 deg, intensity 72, (1 3 0)
- 2.374 Å, 37.90 deg, intensity 56, (1 1 1)
- 2.338 Å, 38.51 deg, intensity 57, (1 3 -1)
- 2.056 Å, 44.05 deg, intensity 38, (1 3 1)
- 1.899 Å, 47.91 deg, intensity 31, (0 0 2)
- 1.840 Å, 49.54 deg, intensity 29, (2 0 0)
- 1.726 Å, 53.07 deg, intensity 32, (0 6 1)
- 1.589 Å, 58.03 deg, intensity 26, (0 4 2)

***

For PaCoH6Pd, the PBE geometry in Alexandria gives the simulated X-ray diffraction stick pattern in this record (Cu Kα).
Kinematic intensities with the Lorentz-polarization factor, no thermal factor.

Crystal structure
Cell lengths 4.5069, 4.5069, 4.1293 Å; angles 90.00, 90.00, 120.00 degrees
Space group P-6m2 (No. 187)
Asymmetric unit:
Pa: 0.0000 0.0000 0.0000
Co: 0.6667 0.3333 0.5000
H: 0.5165 0.0330 0.2243
Pd: 0.3333 0.6667 0.5000

Principal peaks in the range 2θ = 5–70°, low angle first:
- 3.903 Å, 22.78 deg, intensity 22, (1 0 0)
- 2.836 Å, 31.54 deg, intensity 100, (1 0 1)
- 2.253 Å, 40.01 deg, intensity 42, (1 1 0)
- 2.065 Å, 43.85 deg, intensity 10, (0 0 2)
- 1.978 Å, 45.88 deg, intensity 1, (1 1 1)
- 1.952 Å, 46.54 deg, intensity 4, (2 0 0)
- 1.825 Å, 49.97 deg, intensity 7, (1 0 2)
- 1.764 Å, 51.82 deg, intensity 25, (2 0 1)
- 1.522 Å, 60.85 deg, intensity 25, (1 1 2)
- 1.475 Å, 63.01 deg, intensity 3, (2 1 0)
- 1.418 Å, 65.85 deg, intensity 3, (2 0 2)
- 1.389 Å, 67.41 deg, intensity 23, (2 1 1)

***

For PaCoH6Pt, the PBE geometry in Alexandria gives the simulated X-ray diffraction stick pattern in this record (Cu Kα).
Kinematic intensities with the Lorentz-polarization factor, no thermal factor.

Crystal structure
Cell lengths 4.5296, 4.5296, 4.1301 Å; angles 90.00, 90.00, 120.00 degrees
Space group P-6m2 (No. 187)
Asymmetric unit:
Pa: 0.0000 0.0000 0.0000
Co: 0.6667 0.3333 0.5000
H: 0.5150 0.0300 0.2246
Pt: 0.3333 0.6667 0.5000

Principal peaks in the range 2θ = 5–70°, low angle first:
- 3.923 Å, 22.67 deg, intensity 17, (1 0 0)
- 2.844 Å, 31.45 deg, intensity 100, (1 0 1)
- 2.265 Å, 39.80 deg, intensity 44, (1 1 0)
- 2.065 Å, 43.84 deg, intensity 11, (0 0 2)
- 1.961 Å, 46.29 deg, intensity 3, (2 0 0)
- 1.827 Å, 49.91 deg, intensity 5, (1 0 2)
- 1.772 Å, 51.59 deg, intensity 26, (2 0 1)
- 1.526 Å, 60.69 deg, intensity 26, (1 1 2)
- 1.483 Å, 62.66 deg, intensity 3, (2 1 0)
- 1.422 Å, 65.65 deg, intensity 2, (2 0 2)
- 1.395 Å, 67.07 deg, intensity 24, (2 1 1)

***

For PaCoSiH, the PBE geometry in Alexandria gives the simulated X-ray diffraction stick pattern in this record (Cu Kα).
Kinematic intensities with the Lorentz-polarization factor, no thermal factor.

Crystal structure
Cell lengths 4.1369, 4.1369, 3.5811 Å; angles 90.00, 90.00, 120.00 degrees
Space group P-6m2 (No. 187)
Asymmetric unit:
Pa: 0.0000 0.0000 0.0000
Co: 0.6667 0.3333 0.5000
Si: 0.3333 0.6667 0.5000
H: 0.6667 0.3333 0.0000

Principal peaks in the range 2θ = 5–70°, low angle first:
- 3.582 Å, 24.85 deg, intensity 64, (1 0 0)
- 2.533 Å, 35.44 deg, intensity 100, (1 0 1)
- 2.068 Å, 43.76 deg, intensity 38, (1 1 0)
- 1.791 Å, 50.99 deg, intensity 26, (0 0 2)
- 1.602 Å, 57.53 deg, intensity 37, (2 0 1)
- 1.354 Å, 69.42 deg, intensity 26, (1 1 2)

***

For Sr2PaCo3H12, the PBE geometry in Alexandria gives the simulated X-ray diffraction stick pattern in this record (Cu Kα).
Kinematic intensities with the Lorentz-polarization factor, no thermal factor.

Crystal structure
Cell lengths 6.6211, 6.6211, 13.5290 Å; angles 90.00, 90.00, 120.00 degrees
Space group R-3m (No. 166, hexagonal axes)
Asymmetric unit:
Sr: 0.0000 0.0000 0.1168
Pa: 0.0000 0.0000 0.5000
Co: 0.0000 0.5000 0.0000
H: 0.0281 0.5141 0.8847
H: 0.0929 0.5465 0.3180

Principal peaks in the range 2θ = 5–70°, low angle first:
- 5.279 Å, 16.79 deg, intensity 45, (1 0 1)
- 4.374 Å, 20.30 deg, intensity 35, (0 1 2)
- 3.311 Å, 26.93 deg, intensity 64, (1 1 0)
- 2.669 Å, 33.58 deg, intensity 100, (1 1 3)
- 2.640 Å, 33.96 deg, intensity 58, (2 0 2)
- 2.447 Å, 36.73 deg, intensity 49, (0 1 5)
- 1.911 Å, 47.57 deg, intensity 14, (3 0 0)
- 1.760 Å, 51.96 deg, intensity 29, (0 3 3)
- 1.692 Å, 54.23 deg, intensity 32, (1 2 5)
- 1.655 Å, 55.52 deg, intensity 27, (2 2 0)
- 1.457 Å, 63.91 deg, intensity 18, (2 0 8)
- 1.371 Å, 68.43 deg, intensity 16, (3 1 5)

***

For CoH6PtPb2, the PBE geometry in Alexandria gives the simulated X-ray diffraction stick pattern in this record (Cu Kα).
Kinematic intensities with the Lorentz-polarization factor, no thermal factor.

Crystal structure
Cell lengths 4.8944, 4.8944, 8.9981 Å; angles 90.00, 90.00, 90.00 degrees
Space group I4/mmm (No. 139)
Asymmetric unit:
Co: 0.0000 0.0000 0.0000
H: 0.0000 0.0000 0.1743
H: 0.2459 0.2459 0.0000
Pt: 0.0000 0.0000 0.5000
Pb: 0.0000 0.5000 0.2500

Principal peaks in the range 2θ = 5–70°, low angle first:
- 4.499 Å, 19.73 deg, intensity 4, (0 0 2)
- 4.300 Å, 20.66 deg, intensity 11, (1 0 1)
- 3.461 Å, 25.74 deg, intensity 5, (1 1 0)
- 2.743 Å, 32.64 deg, intensity 100, (1 1 2)
- 2.447 Å, 36.72 deg, intensity 37, (2 0 0)
- 2.250 Å, 40.08 deg, intensity 15, (0 0 4)
- 2.127 Å, 42.50 deg, intensity 4, (2 1 1)
- 1.730 Å, 52.91 deg, intensity 13, (2 2 0)
- 1.656 Å, 55.48 deg, intensity 22, (2 0 4)
- 1.464 Å, 63.57 deg, intensity 30, (3 1 2)
- 1.376 Å, 68.15 deg, intensity 12, (1 1 6)
- 1.372 Å, 68.40 deg, intensity 12, (2 2 4)